No. 1
# ZrTa2Mn9
Theoretical powder diffractogram, CuKα. Input: a structure optimized by DFT (PBE).

Main lines, most intense first (10 to 80 degrees two-theta):
d/Å  Position (°2θ)  I_rel
2.047  44.25  100
2.395  37.55  59
2.620  34.23  48
2.408  37.35  43
7.883  11.22  38
2.067  43.81  36
1.958  46.39  22
1.305  72.42  21
1.909  47.64  20
3.396  26.24  17

Structural model:
a b c (Å): 8.354 8.354 8.354
angles (deg): 33.33 33.33 33.33
Fractional positions:
Zr (0.000, 0.000, 0.000)
Ta (0.141, 0.141, 0.141)
Ta (0.859, 0.859, 0.859)
Mn (0.073, 0.590, 0.590)
Mn (0.339, 0.339, 0.339)
Mn (0.410, 0.410, 0.927)
Mn (0.410, 0.927, 0.410)
Mn (0.500, 0.500, 0.500)
Mn (0.590, 0.073, 0.590)
Mn (0.590, 0.590, 0.073)
Mn (0.661, 0.661, 0.661)
Mn (0.927, 0.410, 0.410)

No. 2
# LiTm2Cu7
Theoretical powder diffractogram, CuKα. Input: a structure optimized by DFT (PBE).

Main lines, most intense first (10 to 80 degrees two-theta):
d/Å  Position (°2θ)  I_rel
2.516  35.69  100
2.179  41.44  73
1.541  60.05  46
3.081  28.98  42
1.314  71.85  35
1.779  51.36  17
1.258  75.59  15
4.358  20.38  9
1.378  68.03  8
1.949  46.60  5

Structural model:
a b c (Å): 6.163 6.163 6.163
angles (deg): 60.00 60.00 60.00
Fractional positions:
Li (0.000, 0.000, 0.000)
Tm (0.250, 0.250, 0.250)
Tm (0.750, 0.750, 0.750)
Cu (0.240, 0.240, 0.760)
Cu (0.240, 0.760, 0.240)
Cu (0.240, 0.760, 0.760)
Cu (0.500, 0.500, 0.500)
Cu (0.760, 0.240, 0.240)
Cu (0.760, 0.240, 0.760)
Cu (0.760, 0.760, 0.240)

No. 3
# TiBiSe2
Theoretical powder diffractogram, CuKα. Input: a structure optimized by DFT (PBE).

Main lines, most intense first (10 to 80 degrees two-theta):
d/Å  Position (°2θ)  I_rel
5.845  15.16  100
2.089  43.30  75
3.195  27.93  72
2.922  30.59  63
2.762  32.42  51
3.887  22.88  40
3.117  28.64  39
3.103  28.77  39
4.432  20.03  39
2.161  41.80  37

Structural model:
a b c (Å): 6.695 6.695 6.390
angles (deg): 118.29 118.29 82.91
Fractional positions:
Ti (0.001, 0.999, 0.500)
Ti (0.999, 0.001, 0.000)
Bi (0.317, 0.369, 0.091)
Bi (0.369, 0.317, 0.591)
Se (0.290, 0.861, 0.826)
Se (0.678, 0.955, 0.567)
Se (0.861, 0.290, 0.326)
Se (0.955, 0.678, 0.067)

Repeat the third record exactly.
# TiBiSe2
Theoretical powder diffractogram, CuKα. Input: a structure optimized by DFT (PBE).

Main lines, most intense first (10 to 80 degrees two-theta):
d/Å  Position (°2θ)  I_rel
5.845  15.16  100
2.089  43.30  75
3.195  27.93  72
2.922  30.59  63
2.762  32.42  51
3.887  22.88  40
3.117  28.64  39
3.103  28.77  39
4.432  20.03  39
2.161  41.80  37

Structural model:
a b c (Å): 6.695 6.695 6.390
angles (deg): 118.29 118.29 82.91
Fractional positions:
Ti (0.001, 0.999, 0.500)
Ti (0.999, 0.001, 0.000)
Bi (0.317, 0.369, 0.091)
Bi (0.369, 0.317, 0.591)
Se (0.290, 0.861, 0.826)
Se (0.678, 0.955, 0.567)
Se (0.861, 0.290, 0.326)
Se (0.955, 0.678, 0.067)